# 1
# Ba2MoO3F4
Theoretical X-ray diffraction stick pattern, Cu Ka. Input: the GGA+U geometry in Alexandria.

Structural model:
```
data_Ba2MoO3F4
_chemical_formula_sum 'Ba8 Mo4 O12 F16'
_cell_length_a 11.6218
_cell_length_b 9.5944
_cell_length_c 7.2818
_cell_angle_alpha 90.00
_cell_angle_beta 125.79
_cell_angle_gamma 90.00
_space_group_name_H-M_alt 'C 1 c 1'
_space_group_IT_number 9
loop_
_space_group_symop_operation_xyz
'x,y,z'
'x,-y,z+1/2'
'x+1/2,y+1/2,z'
'x+1/2,-y+1/2,z+1/2'
loop_
_atom_site_label
_atom_site_type_symbol
_atom_site_fract_x
_atom_site_fract_y
_atom_site_fract_z
_atom_site_occupancy
Ba1 Ba 0.0000 0.1166 0.0000 1
Ba2 Ba 0.2903 0.1797 0.8188 1
Mo1 Mo 0.1150 0.4683 0.9459 1
O1 O 0.1296 0.4378 0.7033 1
O2 O 0.2156 0.3189 0.1044 1
O3 O 0.4415 0.0930 0.3220 1
F1 F 0.0330 0.3336 0.3026 1
F2 F 0.1813 0.0351 0.4424 1
F3 F 0.3099 0.4147 0.6025 1
F4 F 0.4960 0.3499 0.1197 1
```

Main lines, low angle first (15 to 90 degrees two-theta):
(1 1 1), 23.9°, d 3.730, I = 100.0; (2 2 -1), 24.4°, d 3.645, I = 73.6; (3 1 -1), 24.8°, d 3.586, I = 47.4; (2 2 0), 26.5°, d 3.362, I = 32.8; (1 1 -2), 27.5°, d 3.249, I = 28.2; (3 1 -2), 28.3°, d 3.150, I = 37.1; (1 3 0), 29.5°, d 3.029, I = 31.1; (3 1 0), 29.9°, d 2.986, I = 40.9

***

# 2
# BaZnMoF7
Theoretical X-ray diffraction stick pattern, Cu Ka. Input: the GGA+U geometry in Alexandria.

Structural model:
```
data_BaZnMoF7
_chemical_formula_sum 'Ba4 Zn4 Mo4 F28'
_cell_length_a 5.8065
_cell_length_b 10.2863
_cell_length_c 9.9378
_cell_angle_alpha 90.00
_cell_angle_beta 92.69
_cell_angle_gamma 90.00
_space_group_name_H-M_alt 'P 1 21/c 1'
_space_group_IT_number 14
loop_
_space_group_symop_operation_xyz
'x,y,z'
'-x,-y,-z'
'-x,y+1/2,-z+1/2'
'x,-y+1/2,z+1/2'
loop_
_atom_site_label
_atom_site_type_symbol
_atom_site_fract_x
_atom_site_fract_y
_atom_site_fract_z
_atom_site_occupancy
Ba1 Ba 0.2359 0.1733 0.0059 1
Zn1 Zn 0.1875 0.6063 0.8082 1
Mo1 Mo 0.3048 0.6087 0.1837 1
F1 F 0.0101 0.7102 0.2458 1
F2 F 0.0970 0.5412 0.6283 1
F3 F 0.1348 0.0641 0.6241 1
F4 F 0.2373 0.6972 0.9927 1
F5 F 0.3726 0.0475 0.3785 1
F6 F 0.3982 0.5388 0.3741 1
F7 F 0.4731 0.7175 0.7454 1
```

Main lines, low angle first (15 to 90 degrees two-theta):
(1 2 -1), 24.6°, d 3.623, I = 100.0; (1 1 2), 25.7°, d 3.470, I = 53.1; (0 1 3), 28.3°, d 3.150, I = 30.9; (2 0 0), 30.8°, d 2.900, I = 21.3; (0 3 3), 37.8°, d 2.381, I = 17.3; (1 4 1), 39.6°, d 2.278, I = 24.6; (3 2 -1), 50.9°, d 1.795, I = 25.1; (1 2 5), 52.5°, d 1.742, I = 20.2